This entry pairs a crystal structure of YHoCu2Bi4 with its theoretical powder X-ray diffraction pattern. Radiation: Cu Ka. Structure: a cell relaxed with GGA-PBE.

Structure:
a b c (Å): 4.542 4.542 9.623
angles (deg): 90.00 90.00 90.00
Space group P4mm (No. 99)
Unique sites:
1 Y 0.000 0.000 0.000 [1 per cell]
2 Ho 0.500 0.500 0.529 [1 per cell]
3 Cu 0.000 0.500 0.762 [2 per cell]
4 Bi 0.000 0.000 0.595 [1 per cell]
5 Bi 0.000 0.500 0.265 [2 per cell]
6 Bi 0.500 0.500 0.931 [1 per cell]

Top 12 peaks for 10 to 90 degrees two-theta, by angle:
Position (°2θ), I_rel, hkl
27.00, 16.6, 1 0 2
27.81, 23.6, 0 0 3
29.32, 35.0, 1 1 1
33.55, 100.0, 1 1 2
39.69, 49.2, 2 0 0
47.20, 10.2, 1 1 4
49.16, 20.0, 2 0 3
51.57, 9.7, 1 0 5
55.67, 17.0, 1 1 5
57.40, 18.8, 2 2 0
64.95, 11.0, 2 2 3
68.14, 26.2, 3 1 2